[1]
Computed powder diffractogram
Compound: Cs2KHgCl4
Radiation: λ = 1.5418 Å (Cu Kα)
Structure: a DFT-relaxed cell (PBE, Alexandria)

Main lines, low angle first (10 to 90 degrees two-theta):
d_spacing  I (rel.)
6.435  53.5
4.929  77.2
4.004  30.8
3.781  85.1
3.718  100.0
3.011  63.2
2.725  66.1
2.589  54.4
2.266  32.2
2.175  28.4

```
Cs2KHgCl4
1.0
0.0000 8.0081 12.8692
3.2499 0.0000 12.8692
3.2499 8.0081 0.0000
Cs K Hg Cl
4 2 2 8
Cartesian
2.4374 6.0061 1.5645
4.0623 10.0102 7.9990
2.4374 6.0061 17.7393
4.0623 10.0102 24.1739
0.8125 2.0020 3.2173
5.6873 14.0142 22.5210
2.4374 6.0061 9.6519
4.0623 10.0102 16.0865
2.4601 4.0408 4.5835
2.4147 7.9714 4.5835
4.0396 8.0449 11.0181
2.4147 4.0408 14.7203
4.0850 11.9755 11.0181
2.4601 7.9714 14.7203
4.0850 8.0449 21.1548
4.0396 11.9755 21.1548
```

***

[2]
Computed powder diffractogram
Compound: Cs2KHg2Cl7
Radiation: λ = 1.5418 Å (Cu Kα)
Structure: a DFT-relaxed cell (PBE, Alexandria)

Main lines, low angle first (10 to 90 degrees two-theta):
d_spacing  I (rel.)
6.839  48.4
5.320  41.2
3.852  100.0
3.835  79.2
2.712  67.0
2.652  33.9
2.217  47.8
1.926  25.3
1.896  25.6
1.716  27.9

```
Cs2KHg2Cl7
1.0
-2.7117 2.7117 13.6782
2.7117 -2.7117 13.6782
2.7117 2.7117 -13.6782
Cs K Hg Cl
2 1 2 7
Cartesian
0.0000 0.0000 4.8544
0.0000 0.0000 22.5019
0.0000 0.0000 0.0000
0.0000 0.0000 11.0044
0.0000 0.0000 16.3519
2.7117 0.0000 2.4736
0.0000 0.0000 8.3899
2.7117 0.0000 11.2046
0.0000 0.0000 13.6782
0.0000 2.7117 2.4736
0.0000 0.0000 18.9664
0.0000 2.7117 11.2046
```

***

[3]
Computed powder diffractogram
Compound: Cs3Li2HgCl6
Radiation: λ = 1.5418 Å (Cu Kα)
Structure: a DFT-relaxed cell (PBE, Alexandria)

Main lines, low angle first (10 to 90 degrees two-theta):
d_spacing  I (rel.)
6.796  62.3
3.924  100.0
3.744  90.6
3.178  51.5
2.953  46.5
2.709  80.8
2.229  42.4
2.130  30.9
1.962  34.6
1.690  31.7

```
Cs3Li2HgCl6
1.0
7.8472 0.0000 0.0000
-3.9236 6.7959 0.0000
0.0000 0.0000 8.9728
Cs Li Hg Cl
3 2 1 6
Cartesian
0.0000 0.0000 0.0000
0.0000 4.5306 5.6683
3.9236 2.2653 3.3046
0.0000 4.5306 2.1047
3.9236 2.2653 6.8682
0.0000 0.0000 4.4864
0.0000 2.3340 2.5586
-1.9022 5.6288 2.5586
2.0213 1.1670 6.4142
1.9023 5.6288 2.5586
5.8258 1.1670 6.4142
3.9236 4.4618 6.4142
```

***

[4]
Computed powder diffractogram
Compound: Cs3MgHg2Cl9
Radiation: λ = 1.5418 Å (Cu Kα)
Structure: a DFT-relaxed cell (PBE, Alexandria)

Main lines, low angle first (10 to 90 degrees two-theta):
d_spacing  I (rel.)
5.308  11.5
3.753  100.0
3.064  9.4
2.654  53.1
2.167  47.8
1.877  36.4
1.679  22.8
1.419  19.3
1.251  10.6
1.187  15.7

```
Cs3MgHg2Cl9
1.0
7.5025 0.0000 0.0000
-3.7513 6.4974 0.0000
0.0000 0.0000 9.2043
Cs Mg Hg Cl
3 1 2 9
Cartesian
0.0000 0.0000 0.0000
0.0000 4.3316 6.1414
3.7513 2.1658 3.0629
0.0000 0.0000 4.6022
0.0000 4.3316 1.6086
3.7513 2.1658 7.5957
-1.8756 3.2487 0.0000
0.0000 2.0882 3.1401
-1.9428 5.4533 3.1401
1.8084 1.0441 6.0643
3.7513 0.0000 0.0000
1.8756 3.2487 0.0000
1.9428 5.4533 3.1401
5.6941 1.0441 6.0643
3.7513 4.4091 6.0643
```

***

[5]
Computed powder diffractogram
Compound: Cs2MgHgCl6
Radiation: λ = 1.5418 Å (Cu Kα)
Structure: a DFT-relaxed cell (PBE, Alexandria)

Main lines, low angle first (10 to 90 degrees two-theta):
d_spacing  I (rel.)
6.145  44.3
3.797  52.0
3.747  100.0
3.230  31.5
3.073  22.2
2.685  58.9
2.615  27.7
2.182  46.0
2.154  22.8
1.873  38.5

```
Cs2MgHgCl6
1.0
-3.7971 3.7971 5.2302
3.7971 -3.7971 5.2302
3.7971 3.7971 -5.2302
Cs Mg Hg Cl
2 1 1 6
Cartesian
3.7971 0.0000 2.6151
0.0000 3.7971 2.6151
0.0000 0.0000 0.0000
0.0000 0.0000 5.2302
1.7441 1.7441 0.0000
2.0530 -2.0530 5.2302
0.0000 0.0000 2.7547
0.0000 0.0000 7.7056
-2.0530 2.0530 5.2302
2.0530 2.0530 5.2302
```

***

[6]
Computed powder diffractogram
Compound: Cs2HgMoCl6
Radiation: λ = 1.5418 Å (Cu Kα)
Structure: a DFT-relaxed cell (PBE, Alexandria)

Main lines, low angle first (10 to 90 degrees two-theta):
d_spacing  I (rel.)
6.322  29.4
6.201  24.4
4.952  89.1
4.170  27.8
3.940  59.5
3.674  100.0
3.065  32.5
2.951  69.9
2.687  62.5
1.837  33.5

```
Cs2HgMoCl6
1.0
3.6739 2.1211 18.3983
-3.6739 2.1211 18.3983
0.0000 -4.2423 18.3983
Cs Hg Mo Cl
4 2 2 12
Cartesian
0.0000 0.0000 7.7469
0.0000 0.0000 16.9521
0.0000 0.0000 38.2428
0.0000 0.0000 47.4480
0.0000 0.0000 22.9336
0.0000 0.0000 32.2614
0.0000 0.0000 0.0000
0.0000 0.0000 27.5975
-1.6986 -0.9807 26.2015
0.0000 -2.2802 19.7898
-1.9747 1.1401 19.7898
-1.9747 -1.1401 35.4052
0.0000 -1.9614 28.9935
-1.6986 0.9807 28.9935
1.6986 -0.9807 26.2015
0.0000 1.9614 26.2015
1.9747 1.1401 19.7898
1.9747 -1.1401 35.4051
0.0000 2.2802 35.4051
1.6986 0.9807 28.9935
```

***

[7]
Computed powder diffractogram
Compound: CsHg2PdCl8
Radiation: λ = 1.5418 Å (Cu Kα)
Structure: a DFT-relaxed cell (PBE, Alexandria)

Main lines, low angle first (10 to 90 degrees two-theta):
d_spacing  I (rel.)
4.867  100.0
3.776  51.2
3.183  17.7
2.983  11.2
2.434  24.9
2.341  32.0
2.044  29.8
1.888  13.4
1.760  11.7
1.623  15.0

```
CsHg2PdCl8
1.0
3.7761 2.1801 9.7135
-3.7761 2.1801 9.7135
0.0000 -4.3602 9.7135
Cs Hg Pd Cl
1 2 1 8
Cartesian
0.0000 0.0000 0.0000
0.0000 0.0000 6.9950
0.0000 0.0000 22.1456
0.0000 0.0000 14.5703
-1.6343 -0.9436 13.0648
0.0000 0.0000 9.4515
0.0000 -1.8871 16.0757
-1.6343 0.9436 16.0757
1.6343 -0.9436 13.0648
0.0000 1.8871 13.0648
0.0000 0.0000 19.6891
1.6343 0.9436 16.0757
```

***

[8]
Computed powder diffractogram
Compound: Cs2PmHgCl6
Radiation: λ = 1.5418 Å (Cu Kα)
Structure: a DFT-relaxed cell (PBE, Alexandria)

Main lines, low angle first (10 to 90 degrees two-theta):
d_spacing  I (rel.)
5.677  10.4
4.014  100.0
2.838  49.4
2.317  47.6
2.007  34.8
1.796  15.3
1.639  11.9
1.517  26.5
1.270  10.0
1.114  8.5

```
Cs2PmHgCl6
1.0
8.0309 0.0000 0.0000
0.0000 11.3384 0.0000
0.0000 0.0000 8.0352
Cs Pm Hg Cl
4 2 2 12
Cartesian
2.0077 0.0042 2.0035
2.0077 5.6651 2.0035
6.0232 11.3343 6.0317
6.0232 5.6734 6.0317
2.0077 2.8346 6.0482
6.0232 8.5038 1.9870
2.0077 8.5038 6.0057
6.0232 2.8346 2.0296
0.0795 2.8346 4.1433
0.1022 2.8346 7.9768
2.0077 0.1241 6.0406
2.0077 5.5451 6.0406
3.9132 2.8346 7.9768
3.9359 2.8346 4.1433
4.0950 8.5038 3.8920
4.1177 8.5038 0.0584
6.0232 5.7933 1.9946
6.0232 11.2144 1.9946
7.9287 8.5038 0.0584
7.9514 8.5038 3.8920
```

***

[9]
Computed powder diffractogram
Compound: Cs2HgPtCl6
Radiation: λ = 1.5418 Å (Cu Kα)
Structure: a DFT-relaxed cell (PBE, Alexandria)

Main lines, low angle first (10 to 90 degrees two-theta):
d_spacing  I (rel.)
5.429  14.5
3.839  100.0
2.718  28.6
2.709  14.2
2.216  44.1
1.920  28.8
1.719  16.3
1.567  9.5
1.452  17.8
1.450  8.8

```
Cs2HgPtCl6
1.0
-3.8433 3.8433 5.4172
3.8433 -3.8433 5.4172
3.8433 3.8433 -5.4172
Cs Hg Pt Cl
2 1 1 6
Cartesian
3.8433 0.0000 2.7086
0.0000 3.8433 2.7086
0.0000 0.0000 0.0000
0.0000 0.0000 5.4172
0.0000 0.0000 3.0322
2.1594 2.1594 0.0000
1.6840 -1.6840 5.4172
-1.6840 1.6840 5.4172
1.6840 1.6840 5.4172
0.0000 0.0000 7.8022
```

***

[10]
Computed powder diffractogram
Compound: Cs3PuHg2Cl9
Radiation: λ = 1.5418 Å (Cu Kα)
Structure: a DFT-relaxed cell (PBE, Alexandria)

Main lines, low angle first (10 to 90 degrees two-theta):
d_spacing  I (rel.)
5.571  18.6
3.939  100.0
2.786  45.2
2.274  46.5
1.970  31.5
1.762  21.3
1.489  24.0
1.313  11.5
1.246  12.9
1.093  13.0

```
Cs3PuHg2Cl9
1.0
7.8802 0.0000 0.0000
-3.9401 6.8245 0.0000
0.0000 0.0000 9.6460
Cs Pu Hg Cl
3 1 2 9
Cartesian
0.0000 0.0000 0.0000
0.0000 4.5497 6.6237
3.9401 2.2748 3.0224
0.0000 0.0000 4.8230
0.0000 4.5497 1.4570
3.9401 2.2748 8.1890
-1.9701 3.4122 0.0000
0.0000 2.2041 3.2967
-2.0313 5.7224 3.2967
1.9088 1.1021 6.3493
3.9401 0.0000 0.0000
1.9701 3.4122 0.0000
2.0313 5.7224 3.2967
5.9714 1.1021 6.3493
3.9401 4.6204 6.3493
```

***

[11]
Computed powder diffractogram
Compound: Cs2RbHg2Cl7
Radiation: λ = 1.5418 Å (Cu Kα)
Structure: a DFT-relaxed cell (PBE, Alexandria)

Main lines, low angle first (10 to 90 degrees two-theta):
d_spacing  I (rel.)
6.867  31.7
5.335  22.6
3.865  100.0
3.845  75.4
2.719  61.5
2.662  23.9
2.224  47.9
1.932  25.6
1.923  21.5
1.720  27.2

```
Cs2RbHg2Cl7
1.0
-2.7192 2.7192 13.7347
2.7192 -2.7192 13.7347
2.7192 2.7192 -13.7347
Cs Rb Hg Cl
2 1 2 7
Cartesian
0.0000 0.0000 4.8959
0.0000 0.0000 22.5734
0.0000 0.0000 0.0000
0.0000 0.0000 11.0480
0.0000 0.0000 16.4214
2.7192 0.0000 2.5283
0.0000 0.0000 8.4306
2.7192 0.0000 11.2064
0.0000 0.0000 13.7347
0.0000 2.7192 2.5283
0.0000 0.0000 19.0388
0.0000 2.7192 11.2064
```

***

[12]
Computed powder diffractogram
Compound: CsRe2HgCl8
Radiation: λ = 1.5418 Å (Cu Kα)
Structure: a DFT-relaxed cell (PBE, Alexandria)

Main lines, low angle first (10 to 90 degrees two-theta):
d_spacing  I (rel.)
5.468  100.0
4.374  91.4
3.503  54.4
2.800  24.7
2.734  34.5
2.692  15.2
2.256  18.4
2.155  30.8
2.022  22.0
1.804  19.1

```
CsRe2HgCl8
1.0
7.0051 0.0000 0.0000
-3.5025 6.0666 0.0000
0.0000 0.0000 12.6271
Cs Re Hg Cl
1 2 1 8
Cartesian
0.0000 0.0000 0.0000
0.0000 4.0444 10.2174
3.5025 2.0222 2.4097
0.0000 0.0000 6.3135
-0.7927 2.0446 9.5837
-1.3355 5.7307 9.5837
0.0000 4.0444 12.4871
1.3743 1.7088 3.0434
2.1282 4.3578 9.5837
3.5025 2.0222 0.1400
4.8380 0.3358 3.0434
4.2952 4.0220 3.0434
```